Computed XRD peak list of NaMg14Nb for a wavelength of 1.5418 Å, from DFT lattice parameters and positions (GGA-PBE).
Intensities are scaled so that the largest is 100.

Principal peaks in the range 15° ≤ 2θ ≤ 90°, sorted by position:
Position (°2θ)	d_spacing	Rel. int.
15.88	5.581	12
18.19	4.878	19
23.84	3.733	8
29.11	3.068	5
32.08	2.790	26
35.76	2.511	24
36.85	2.439	100
48.79	1.867	15
57.18	1.611	18
64.96	1.436	17
69.30	1.356	19
69.99	1.344	14

Structural model:
```
NaMg14Nb
1.0
6.4439 0.0000 0.0000
-3.2219 5.5806 0.0000
0.0000 0.0000 10.0450
Na Mg Nb
1 14 1
Direct
0.0000 0.0000 0.0000
0.0018 0.5009 0.5000
0.0029 0.5015 0.0000
0.1637 0.3274 0.2582
0.1637 0.3274 0.7418
0.1637 0.8363 0.2582
0.1637 0.8363 0.7418
0.4985 0.5015 0.0000
0.4991 0.5009 0.5000
0.4985 0.9971 0.0000
0.4991 0.9982 0.5000
0.6667 0.3333 0.2500
0.6667 0.3333 0.7500
0.6726 0.8363 0.2582
0.6726 0.8363 0.7418
0.0000 0.0000 0.5000
```

***

Computed XRD peak list of SmIO for a wavelength of 1.5418 Å, from DFT lattice parameters and positions (GGA-PBE).
Intensities are scaled so that the largest is 100.

Principal peaks in the range 15° ≤ 2θ ≤ 90°, sorted by position:
Position (°2θ)	d_spacing	Rel. int.
29.11	3.067	100
31.31	2.857	43
36.22	2.480	15
44.87	2.020	20
50.19	1.818	15
54.38	1.687	34
58.67	1.573	10
58.97	1.566	7
60.35	1.534	6
65.33	1.428	6
73.07	1.295	7
74.23	1.278	14

Structural model:
```
SmIO
1.0
4.0402 0.0000 0.0000
0.0000 4.0402 0.0000
0.0000 0.0000 9.4259
Sm I O
2 2 2
Direct
0.2500 0.2500 0.1217
0.7500 0.7500 0.8783
0.2500 0.2500 0.6738
0.7500 0.7500 0.3262
0.2500 0.7500 0.0000
0.7500 0.2500 0.0000
```

***

Computed XRD peak list of DyInPt for a wavelength of 1.5418 Å, from DFT lattice parameters and positions (GGA-PBE).
Intensities are scaled so that the largest is 100.

Principal peaks in the range 15° ≤ 2θ ≤ 90°, sorted by position:
Position (°2θ)	d_spacing	Rel. int.
23.12	3.847	11
26.69	3.340	11
32.85	2.727	61
35.59	2.522	100
40.62	2.221	40
42.86	2.110	29
47.02	1.933	18
55.09	1.667	9
60.37	1.533	11
63.84	1.458	21
65.68	1.422	27
75.47	1.260	13

Structural model:
```
DyInPt
1.0
7.6941 0.0000 0.0000
-3.8471 6.6633 0.0000
0.0000 0.0000 3.8652
Dy In Pt
3 3 3
Direct
0.0000 0.5939 0.0000
0.4061 0.4061 0.0000
0.5939 0.0000 0.0000
0.0000 0.2608 0.5000
0.2608 0.0000 0.5000
0.7392 0.7392 0.5000
0.0000 0.0000 0.0000
0.3333 0.6667 0.5000
0.6667 0.3333 0.5000
```

***

Computed XRD peak list of Bi3BrO4 for a wavelength of 1.5418 Å, from DFT lattice parameters and positions (GGA-PBE).
Intensities are scaled so that the largest is 100.

Principal peaks in the range 15° ≤ 2θ ≤ 90°, sorted by position:
Position (°2θ)	d_spacing	Rel. int.
23.47	3.791	13
28.47	3.135	100
30.61	2.920	15
30.73	2.910	17
34.68	2.587	10
37.25	2.414	13
41.82	2.160	12
43.93	2.061	13
48.92	1.862	14
53.10	1.725	10
53.26	1.720	11
58.89	1.568	12

Structural model:
```
Bi3BrO4
1.0
5.8192 0.0000 0.0000
0.0000 19.3094 0.0000
0.0000 0.0000 5.8407
Bi Br O
12 4 16
Direct
0.2002 0.1407 0.2018
0.2002 0.3593 0.2982
0.2500 0.0000 0.7013
0.2500 0.5000 0.7987
0.2998 0.6407 0.2982
0.2998 0.8593 0.2018
0.7002 0.1407 0.7982
0.7002 0.3593 0.7018
0.7500 0.0000 0.2987
0.7500 0.5000 0.2013
0.7998 0.6407 0.7018
0.7998 0.8593 0.7982
0.2289 0.2500 0.7500
0.2711 0.7500 0.7500
0.7289 0.2500 0.2500
0.7711 0.7500 0.2500
0.0162 0.5879 0.4573
0.0162 0.9121 0.0427
0.0723 0.0640 0.4319
0.0723 0.4360 0.0681
0.4277 0.5640 0.0681
0.4277 0.9360 0.4319
0.4838 0.0879 0.0427
0.4838 0.4121 0.4573
0.5162 0.5879 0.5427
0.5162 0.9121 0.9573
0.5723 0.0640 0.5681
0.5723 0.4360 0.9319
0.9277 0.5640 0.9319
0.9277 0.9360 0.5681
0.9838 0.0879 0.9573
0.9838 0.4121 0.5427
```

***

Computed XRD peak list of USiRh for a wavelength of 1.5418 Å, from DFT lattice parameters and positions (GGA-PBE).
Intensities are scaled so that the largest is 100.

Principal peaks in the range 15° ≤ 2θ ≤ 90°, sorted by position:
Position (°2θ)	d_spacing	Rel. int.
17.24	5.144	22
23.88	3.726	33
26.39	3.377	14
35.89	2.502	44
36.50	2.462	100
38.39	2.345	31
39.91	2.259	18
47.38	1.919	19
50.76	1.798	13
51.53	1.773	12
56.41	1.631	15
62.55	1.485	15

Structural model:
```
USiRh
1.0
7.4520 0.0000 0.0000
0.0000 3.8374 0.0000
0.0000 0.0000 7.1103
U Si Rh
4 4 4
Direct
0.0015 0.2500 0.1322
0.4985 0.7500 0.6322
0.5015 0.2500 0.3678
0.9985 0.7500 0.8678
0.1995 0.7500 0.3720
0.3005 0.2500 0.8720
0.6995 0.7500 0.1280
0.8005 0.2500 0.6280
0.1307 0.2500 0.5686
0.3693 0.7500 0.0686
0.6307 0.2500 0.9314
0.8693 0.7500 0.4314
```

***

Computed XRD peak list of SbO2 for a wavelength of 1.5418 Å, from DFT lattice parameters and positions (GGA-PBE).
Intensities are scaled so that the largest is 100.

Principal peaks in the range 15° ≤ 2θ ≤ 90°, sorted by position:
Position (°2θ)	d_spacing	Rel. int.
26.84	3.322	100
30.15	2.964	31
30.70	2.912	64
33.32	2.689	22
36.49	2.462	13
40.07	2.250	14
48.03	1.894	20
49.14	1.854	19
50.24	1.816	20
53.42	1.715	17
56.16	1.638	14
64.94	1.436	13

Structural model:
```
SbO2
1.0
6.0995 -2.4624 0.0000
6.0995 2.4624 0.0000
-1.2946 0.0000 5.3558
Sb O
4 8
Direct
0.0000 0.5000 0.0000
0.2135 0.7865 0.7500
0.5000 0.0000 0.5000
0.7865 0.2135 0.2500
0.0085 0.1795 0.9664
0.1795 0.0085 0.4664
0.2724 0.3506 0.3138
0.3506 0.2724 0.8138
0.6494 0.7276 0.1862
0.7276 0.6494 0.6862
0.8205 0.9915 0.5336
0.9915 0.8205 0.0336
```

***

Computed XRD peak list of NiC4NCl3 for a wavelength of 1.5418 Å, from DFT lattice parameters and positions (GGA-PBE).
Intensities are scaled so that the largest is 100.

Principal peaks in the range 15° ≤ 2θ ≤ 90°, sorted by position:
Position (°2θ)	d_spacing	Rel. int.
19.55	4.540	14
20.88	4.254	100
28.76	3.104	61
35.81	2.508	34
37.70	2.386	27
39.70	2.270	31
39.90	2.260	15
44.33	2.044	14
45.28	2.003	53
48.71	1.869	30
54.27	1.690	19
57.30	1.608	15

Structural model:
```
NiC4NCl3
1.0
8.5081 0.0000 0.0000
-4.2541 7.3682 0.0000
0.0000 0.0000 5.7646
Ni C N Cl
2 8 2 6
Direct
0.0000 0.0000 0.0000
0.0000 0.0000 0.5000
0.1942 0.5645 0.2440
0.3333 0.6667 0.0627
0.3703 0.8058 0.2440
0.4355 0.6297 0.2440
0.5645 0.3703 0.7440
0.6297 0.1942 0.7440
0.6667 0.3333 0.5627
0.8058 0.4355 0.7440
0.3333 0.6667 0.4238
0.6667 0.3333 0.9238
0.0798 0.2389 0.7503
0.1591 0.9202 0.7503
0.2389 0.1591 0.2503
0.7611 0.8409 0.7503
0.8409 0.0798 0.2503
0.9202 0.7611 0.2503
```

***

Computed XRD peak list of La4Ti5Te3O24 for a wavelength of 1.5418 Å, from DFT lattice parameters and positions (GGA-PBE).
Intensities are scaled so that the largest is 100.

Principal peaks in the range 15° ≤ 2θ ≤ 90°, sorted by position:
Position (°2θ)	d_spacing	Rel. int.
19.36	4.586	11
25.87	3.445	21
25.92	3.437	100
33.80	2.652	23
33.96	2.640	12
43.00	2.103	9
43.18	2.095	18
49.10	1.856	29
49.22	1.851	15
55.78	1.648	9
56.07	1.640	9
56.84	1.620	12

Structural model:
```
La4Ti5Te3O24
1.0
7.4231 0.0000 0.0000
-0.1538 7.4225 0.0000
-3.6689 -3.6741 9.1600
La Ti Te O
4 5 3 24
Direct
0.0000 0.0000 0.0000
0.0005 0.4932 0.5010
0.4993 0.9964 0.4926
0.5037 0.4960 0.0046
0.0740 0.5981 0.1751
0.0803 0.0689 0.6522
0.5805 0.5876 0.6709
0.5977 0.0689 0.1693
0.9148 0.9201 0.3369
0.4110 0.9235 0.8374
0.4178 0.4092 0.3302
0.9207 0.4088 0.8320
0.0328 0.1644 0.4944
0.0397 0.6608 0.9968
0.1304 0.9620 0.8111
0.1489 0.4524 0.3122
0.1692 0.8501 0.3100
0.1696 0.3551 0.8178
0.3295 0.1447 0.1877
0.3349 0.6139 0.6768
0.3439 0.0512 0.6753
0.3618 0.5344 0.1887
0.4570 0.3187 0.4889
0.4608 0.8297 0.0168
0.5406 0.6584 0.4937
0.5481 0.1777 0.0122
0.6520 0.9562 0.3182
0.6531 0.4506 0.8144
0.6691 0.3550 0.3189
0.6868 0.8384 0.8033
0.8261 0.1470 0.6840
0.8340 0.6377 0.1873
0.8557 0.0364 0.1856
0.8663 0.5274 0.6869
0.9566 0.3237 0.9936
0.9603 0.8269 0.4991
```